This entry pairs a crystal structure of CaTi2FeO6 with its calculated powder XRD pattern. Radiation: CuKα. Structure: a cell relaxed with GGA+U.
Intensities are scaled so that the largest is 100.

Most intense lines, 10 to 80 degrees two-theta, sorted by position:
(1 1 2), 28.72 deg, rel. 4; (2 0 2), 33.34 deg, rel. 100; (2 2 0), 33.54 deg, rel. 48; (3 1 1), 39.50 deg, rel. 5; (2 2 2), 41.22 deg, rel. 8; (0 0 4), 47.59 deg, rel. 17; (4 0 0), 48.16 deg, rel. 36; (2 2 4), 59.47 deg, rel. 23; (4 2 2), 59.84 deg, rel. 49; (4 0 4), 70.03 deg, rel. 14; (4 4 0), 70.48 deg, rel. 8; (2 0 6), 79.37 deg, rel. 6

Structural model:
```
data_CaTi2FeO6
_cell_length_a 7.5581
_cell_length_b 7.5581
_cell_length_c 7.6437
_cell_angle_alpha 90.00
_cell_angle_beta 90.00
_cell_angle_gamma 90.00
_space_group_name_H-M_alt 'P 42/n m c'
_space_group_IT_number 137
loop_
_space_group_symop_operation_xyz
'x,y,z'
'-x,-y,-z'
'-y+1/2,x,z+1/2'
'y+1/2,-x,-z+1/2'
'-x+1/2,-y+1/2,z'
'x+1/2,y+1/2,-z'
'y,-x+1/2,z+1/2'
'-y,x+1/2,-z+1/2'
'x+1/2,-y,-z'
'-x+1/2,y,z'
'-y,-x,-z+1/2'
'y,x,z+1/2'
'-x,y+1/2,-z'
'x,-y+1/2,z'
'y+1/2,x+1/2,-z+1/2'
'-y+1/2,-x+1/2,z+1/2'
loop_
_atom_site_label
_atom_site_type_symbol
_atom_site_fract_x
_atom_site_fract_y
_atom_site_fract_z
Ca1 Ca 0.2500 0.2500 0.2227
Ti1 Ti 0.0000 0.0000 0.0000
Fe1 Fe 0.2500 0.7500 0.2500
Fe2 Fe 0.2500 0.7500 0.7500
O1 O 0.0448 0.7500 0.4313
O2 O 0.0564 0.2500 0.9637
O3 O 0.0563 0.5563 0.7500
```


This entry pairs a crystal structure of Ca3Fe2W2O12 with its calculated powder XRD pattern. Radiation: CuKα. Structure: a cell relaxed with GGA+U.
Intensities are scaled so that the largest is 100.

Most intense lines, 10 to 80 degrees two-theta, sorted by position:
(1 0 -1), 19.75 deg, rel. 59; (1 1 0), 22.79 deg, rel. 58; (0 0 2), 22.96 deg, rel. 26; (0 2 0), 32.38 deg, rel. 20; (1 1 2), 32.56 deg, rel. 100; (1 2 1), 38.25 deg, rel. 14; (2 2 0), 46.55 deg, rel. 28; (0 0 4), 46.90 deg, rel. 12; (2 2 2), 52.52 deg, rel. 18; (1 3 2), 57.88 deg, rel. 16; (3 1 2), 58.05 deg, rel. 19; (0 2 4), 58.17 deg, rel. 14

Structural model:
```
data_Ca3Fe2W2O12
_cell_length_a 5.5065
_cell_length_b 5.5294
_cell_length_c 7.7482
_cell_angle_alpha 90.00
_cell_angle_beta 90.06
_cell_angle_gamma 90.00
_space_group_name_H-M_alt 'P 1 m 1'
_space_group_IT_number 6
loop_
_space_group_symop_operation_xyz
'x,y,z'
'x,-y,z'
loop_
_atom_site_label
_atom_site_type_symbol
_atom_site_fract_x
_atom_site_fract_y
_atom_site_fract_z
Ca1 Ca 0.0000 0.0000 0.0000
Ca2 Ca 0.0236 0.0000 0.4984
Ca3 Ca 0.5030 0.5000 0.5008
Fe1 Fe 0.0170 0.5000 0.7525
Fe2 Fe 0.5146 0.0000 0.2485
W1 W 0.0168 0.5000 0.2429
W2 W 0.5182 0.0000 0.7576
O1 O 0.0948 0.5000 0.0069
O2 O 0.2640 0.2540 0.3043
O3 O 0.2718 0.2438 0.6991
O4 O 0.4251 0.0000 0.9946
O5 O 0.5999 0.0000 0.5066
O6 O 0.7720 0.2368 0.7905
O7 O 0.7877 0.2410 0.2145
O8 O 0.9275 0.5000 0.4961
```